Record 1
For Al6Hg, a GGA-PBE-relaxed structure gives the calculated powder diffraction line list in this record (Cu Kα).
Neutral-atom scattering factors, no anomalous dispersion.

Structure:
```
data_Al6Hg
_chemical_formula_sum 'Al12 Hg2'
_symmetry_space_group_name_H-M 'I m -3 m'
_symmetry_Int_Tables_number 229
_symmetry_space_group_name_Hall '-I 4 2 3'
_cell_length_a 7.4023
_cell_length_b 7.4023
_cell_length_c 7.4023
_cell_angle_alpha 90.00
_cell_angle_beta 90.00
_cell_angle_gamma 90.00
loop_
_atom_site_label
_atom_site_type_symbol
_atom_site_fract_x
_atom_site_fract_y
_atom_site_fract_z
Al1 Al 0.0000 0.2500 0.5000
Hg1 Hg 0.0000 0.0000 0.0000
```

Principal peaks in the range 15 to 90 degrees two-theta, sorted by position:
16.94°, intensity 56.2, (1 1 0)
24.04°, intensity 41.9, (2 0 0)
29.56°, intensity 100.0, (2 1 1)
38.46°, intensity 16.6, (3 1 0)
45.87°, intensity 60.4, (3 2 1)
49.24°, intensity 12.3, (4 0 0)
55.52°, intensity 17.2, (4 2 0)
58.48°, intensity 14.8, (3 3 2)
69.56°, intensity 17.7, (5 2 1)
79.88°, intensity 18.4, (6 1 1)

Record 2
For Ho5AlHg3, a GGA-PBE-relaxed structure gives the calculated powder diffraction line list in this record (Cu Kα).
Neutral-atom scattering factors, no anomalous dispersion.

Structure:
```
data_Ho5AlHg3
_chemical_formula_sum 'Ho10 Al2 Hg6'
_symmetry_space_group_name_H-M 'P 63/m c m'
_symmetry_Int_Tables_number 193
_symmetry_space_group_name_Hall '-P 6c 2'
_cell_length_a 9.0338
_cell_length_b 9.0338
_cell_length_c 6.5933
_cell_angle_alpha 90.00
_cell_angle_beta 90.00
_cell_angle_gamma 120.00
loop_
_atom_site_label
_atom_site_type_symbol
_atom_site_fract_x
_atom_site_fract_y
_atom_site_fract_z
Ho1 Ho 0.0000 0.2833 0.2500
Ho2 Ho 0.3333 0.6667 0.0000
Al1 Al 0.0000 0.0000 0.0000
Hg1 Hg 0.0000 0.3786 0.7500
```

Principal peaks in the range 15 to 90 degrees two-theta, sorted by position:
27.05°, intensity 21.8, (0 0 2)
33.20°, intensity 55.0, (2 1 1)
33.66°, intensity 100.0, (1 1 2)
34.39°, intensity 89.6, (3 0 0)
43.93°, intensity 21.6, (3 1 1)
48.88°, intensity 25.5, (2 2 2)
51.83°, intensity 15.9, (2 1 3)
61.13°, intensity 18.5, (4 1 2)
64.60°, intensity 16.9, (4 2 1)
67.19°, intensity 26.1, (3 0 4)

Record 3
For Ho3Al3Hg2Ru, a GGA-PBE-relaxed structure gives the calculated powder diffraction line list in this record (Cu Kα).
Neutral-atom scattering factors, no anomalous dispersion.

Structure:
```
data_Ho3Al3Hg2Ru
_chemical_formula_sum 'Ho3 Al3 Hg2 Ru1'
_symmetry_space_group_name_H-M 'P -6 2 m'
_symmetry_Int_Tables_number 189
_symmetry_space_group_name_Hall 'P -6 -2'
_cell_length_a 7.1312
_cell_length_b 7.1312
_cell_length_c 4.3769
_cell_angle_alpha 90.00
_cell_angle_beta 90.00
_cell_angle_gamma 120.00
loop_
_atom_site_label
_atom_site_type_symbol
_atom_site_fract_x
_atom_site_fract_y
_atom_site_fract_z
Ho1 Ho 0.0000 0.6026 0.0000
Al1 Al 0.0000 0.2212 0.5000
Hg1 Hg 0.3333 0.6667 0.5000
Ru1 Ru 0.0000 0.0000 0.0000
```

Principal peaks in the range 15 to 90 degrees two-theta, sorted by position:
24.96°, intensity 54.0, (1 1 0)
32.39°, intensity 100.0, (1 1 1)
35.58°, intensity 65.1, (2 0 1)
38.57°, intensity 15.2, (2 1 0)
41.25°, intensity 24.7, (0 0 2)
43.97°, intensity 61.4, (3 0 0)
57.78°, intensity 22.4, (3 1 1)
61.88°, intensity 24.0, (3 0 2)
69.67°, intensity 21.8, (1 1 3)
69.77°, intensity 24.4, (3 2 1)

Record 4
For AlHg2I4, a GGA-PBE-relaxed structure gives the calculated powder diffraction line list in this record (Cu Kα).
Neutral-atom scattering factors, no anomalous dispersion.

Structure:
```
data_AlHg2I4
_chemical_formula_sum 'Al2 Hg4 I8'
_symmetry_space_group_name_H-M 'P 1 21/m 1'
_symmetry_Int_Tables_number 11
_cell_length_a 7.0563
_cell_length_b 8.7428
_cell_length_c 10.8805
_cell_angle_alpha 90.00
_cell_angle_beta 103.51
_cell_angle_gamma 90.00
loop_
_symmetry_equiv_pos_as_xyz
'x,y,z'
'-x,-y,-z'
'-x,y+1/2,-z'
'x,-y+1/2,z'
loop_
_atom_site_label
_atom_site_type_symbol
_atom_site_fract_x
_atom_site_fract_y
_atom_site_fract_z
Al1 Al 0.0866 0.2500 0.3160
Hg1 Hg 0.2569 0.7500 0.4237
Hg2 Hg 0.3981 0.2500 0.9296
I1 I 0.1874 0.0122 0.2078
I2 I 0.2404 0.2500 0.5554
I3 I 0.2856 0.7500 0.7210
```

Principal peaks in the range 15 to 90 degrees two-theta, sorted by position:
19.79°, intensity 31.8, (1 1 1)
20.32°, intensity 42.1, (0 2 0)
24.55°, intensity 75.1, (1 2 -1)
25.35°, intensity 56.3, (2 0 -1)
25.97°, intensity 38.0, (2 0 0)
26.45°, intensity 42.1, (0 2 2)
27.28°, intensity 100.0, (0 1 3)
35.84°, intensity 42.3, (2 1 2)
39.24°, intensity 32.7, (1 0 4)
40.16°, intensity 39.7, (0 3 3)

Record 5
For LiAlHgI4, a GGA-PBE-relaxed structure gives the calculated powder diffraction line list in this record (Cu Kα).
Neutral-atom scattering factors, no anomalous dispersion.

Structure:
```
data_LiAlHgI4
_chemical_formula_sum 'Li4 Al4 Hg4 I16'
_symmetry_space_group_name_H-M 'C 1 2/m 1'
_symmetry_Int_Tables_number 12
_cell_length_a 14.7822
_cell_length_b 8.3508
_cell_length_c 11.7477
_cell_angle_alpha 90.00
_cell_angle_beta 115.06
_cell_angle_gamma 90.00
loop_
_symmetry_equiv_pos_as_xyz
'x,y,z'
'-x,-y,-z'
'-x,y,-z'
'x,-y,z'
'x+1/2,y+1/2,z'
'-x+1/2,-y+1/2,-z'
'-x+1/2,y+1/2,-z'
'x+1/2,-y+1/2,z'
loop_
_atom_site_label
_atom_site_type_symbol
_atom_site_fract_x
_atom_site_fract_y
_atom_site_fract_z
Li1 Li 0.1696 0.0000 0.2911
Al1 Al 0.1799 0.5000 0.2860
Hg1 Hg 0.0546 0.0000 0.8269
I1 I 0.0277 0.5000 0.3289
I2 I 0.1528 0.0000 0.5143
I3 I 0.1887 0.2556 0.1540
```

Principal peaks in the range 15 to 90 degrees two-theta, sorted by position:
16.51°, intensity 24.4, (1 1 1)
22.88°, intensity 24.2, (0 2 1)
24.70°, intensity 53.5, (4 0 -2)
25.12°, intensity 61.2, (0 0 3)
25.44°, intensity 39.6, (1 1 -3)
26.93°, intensity 100.0, (2 2 -2)
28.28°, intensity 26.0, (2 2 1)
30.61°, intensity 22.3, (1 1 3)
39.93°, intensity 23.1, (1 3 -3)
45.99°, intensity 20.0, (6 2 -4)

Record 6
For AlHgPbI5, a GGA-PBE-relaxed structure gives the calculated powder diffraction line list in this record (Cu Kα).
Neutral-atom scattering factors, no anomalous dispersion.

Structure:
```
data_AlHgPbI5
_chemical_formula_sum 'Al4 Hg4 Pb4 I20'
_symmetry_space_group_name_H-M 'C 1 2/c 1'
_symmetry_Int_Tables_number 15
_cell_length_a 10.8760
_cell_length_b 14.0703
_cell_length_c 11.2259
_cell_angle_alpha 90.00
_cell_angle_beta 116.98
_cell_angle_gamma 90.00
loop_
_symmetry_equiv_pos_as_xyz
'x,y,z'
'-x,-y,-z'
'-x,y,-z+1/2'
'x,-y,z+1/2'
'x+1/2,y+1/2,z'
'-x+1/2,-y+1/2,-z'
'-x+1/2,y+1/2,-z+1/2'
'x+1/2,-y+1/2,z+1/2'
loop_
_atom_site_label
_atom_site_type_symbol
_atom_site_fract_x
_atom_site_fract_y
_atom_site_fract_z
Al1 Al 0.0000 0.0570 0.2500
Hg1 Hg 0.0000 0.3926 0.2500
Pb1 Pb 0.2500 0.2500 0.0000
I1 I 0.0000 0.3395 0.7500
I2 I 0.0087 0.1617 0.4432
I3 I 0.2260 0.0393 0.8483
```

Principal peaks in the range 15 to 90 degrees two-theta, sorted by position:
16.60°, intensity 74.7, (1 1 1)
18.85°, intensity 38.3, (2 0 -2)
21.80°, intensity 53.7, (0 2 2)
24.27°, intensity 80.9, (1 1 2)
24.76°, intensity 100.0, (1 3 -2)
25.63°, intensity 40.4, (3 1 -1)
25.93°, intensity 70.4, (3 1 -2)
31.42°, intensity 89.8, (2 4 0)
34.42°, intensity 52.0, (3 3 -3)
37.10°, intensity 51.7, (4 0 0)